[1]
LiCuP2O6: calculated PXRD pattern (CuKα), based on a structure optimized by DFT (PBE).

Cell and atoms:
a = 5.556 Å, b = 12.395 Å, c = 7.441 Å
α = 90.00°, β = 95.38°, γ = 90.00°
Fractional positions:
Li1 0.111 0.123 0.332
Li2 0.111 0.377 0.832
Li3 0.889 0.623 0.168
Li4 0.889 0.877 0.668
Cu1 0.326 0.031 0.720
Cu2 0.326 0.469 0.220
Cu3 0.674 0.531 0.780
Cu4 0.674 0.969 0.280
P1 0.180 0.623 0.839
P2 0.180 0.877 0.339
P3 0.337 0.665 0.478
P4 0.337 0.835 0.978
P5 0.663 0.165 0.022
P6 0.663 0.335 0.522
P7 0.820 0.123 0.661
P8 0.820 0.377 0.161
O1 0.063 0.136 0.589
O2 0.063 0.364 0.089
O3 0.151 0.666 0.634
O4 0.151 0.834 0.134
O5 0.199 0.616 0.313
O6 0.199 0.884 0.813
O7 0.298 0.512 0.847
O8 0.298 0.988 0.347
O9 0.369 0.706 0.943
O10 0.369 0.794 0.443
O11 0.419 0.124 0.955
O12 0.419 0.376 0.455
O13 0.581 0.624 0.545
O14 0.581 0.876 0.045
O15 0.631 0.206 0.557
O16 0.631 0.294 0.057
O17 0.702 0.012 0.653
O18 0.702 0.488 0.153
O19 0.801 0.116 0.187
O20 0.801 0.384 0.687
O21 0.849 0.166 0.866
O22 0.849 0.334 0.366
O23 0.937 0.636 0.911
O24 0.937 0.864 0.411

Main lines, by angle (2θ = 5–70°):
| 2theta | I_rel |
| --- | --- |
| 14.3 | 397 |
| 17.6 | 1000 |
| 18.7 | 922 |
| 20.4 | 596 |
| 28.1 | 808 |
| 30.2 | 604 |
| 31.3 | 259 |
| 32.4 | 336 |
| 34.3 | 280 |
| 37.1 | 284 |
| 39.8 | 281 |
| 61.0 | 247 |

[2]
HgH2SeO5: calculated PXRD pattern (CuKα), based on a structure optimized by DFT (PBE).

Cell and atoms:
a = 8.079 Å, b = 7.792 Å, c = 8.614 Å
α = 90.00°, β = 121.48°, γ = 90.00°
Fractional positions:
Hg1 0.208 0.232 0.257
Hg2 0.208 0.268 0.757
Hg3 0.792 0.732 0.243
Hg4 0.792 0.768 0.743
H1 0.208 0.522 0.020
H2 0.208 0.978 0.520
H3 0.416 0.065 0.622
H4 0.416 0.435 0.122
H5 0.584 0.565 0.878
H6 0.584 0.935 0.378
H7 0.792 0.022 0.480
H8 0.792 0.478 0.980
Se1 0.264 0.614 0.516
Se2 0.264 0.886 0.016
Se3 0.736 0.114 0.984
Se4 0.736 0.386 0.484
O1 0.114 0.726 0.001
O2 0.114 0.774 0.501
O3 0.118 0.016 0.841
O4 0.118 0.484 0.341
O5 0.274 0.092 0.543
O6 0.274 0.408 0.043
O7 0.350 0.508 0.716
O8 0.350 0.992 0.216
O9 0.449 0.695 0.508
O10 0.449 0.805 0.008
O11 0.551 0.195 0.992
O12 0.551 0.305 0.492
O13 0.650 0.008 0.784
O14 0.650 0.492 0.284
O15 0.726 0.592 0.957
O16 0.726 0.908 0.457
O17 0.882 0.516 0.659
O18 0.882 0.984 0.159
O19 0.886 0.226 0.499
O20 0.886 0.274 0.999

Main lines, by angle (2θ = 5–70°):
| 2theta | I_rel |
| --- | --- |
| 16.6 | 133 |
| 17.2 | 577 |
| 22.8 | 252 |
| 23.6 | 1000 |
| 25.9 | 597 |
| 27.1 | 177 |
| 33.5 | 228 |
| 33.7 | 302 |
| 35.1 | 393 |
| 37.0 | 252 |
| 40.9 | 155 |
| 53.2 | 208 |

[3]
BaGdCl5: calculated PXRD pattern (CuKα), based on a structure optimized by DFT (PBE).

Cell and atoms:
a = 10.129 Å, b = 10.129 Å, c = 6.932 Å
α = 90.90°, β = 90.90°, γ = 148.05°
Fractional positions:
Ba1 0.172 0.828 0.750
Ba2 0.828 0.172 0.250
Gd1 0.423 0.577 0.750
Gd2 0.577 0.423 0.250
Cl1 0.127 0.873 0.250
Cl2 0.226 0.291 0.403
Cl3 0.291 0.226 0.903
Cl4 0.305 0.681 0.001
Cl5 0.319 0.695 0.499
Cl6 0.681 0.305 0.501
Cl7 0.695 0.319 0.999
Cl8 0.709 0.774 0.097
Cl9 0.774 0.709 0.597
Cl10 0.873 0.127 0.750

Main lines, by angle (2θ = 5–70°):
| 2theta | I_rel |
| --- | --- |
| 20.4 | 643 |
| 21.5 | 446 |
| 22.3 | 1000 |
| 24.2 | 335 |
| 25.7 | 318 |
| 32.2 | 377 |
| 34.2 | 540 |
| 36.1 | 311 |
| 37.7 | 359 |
| 38.9 | 404 |
| 40.1 | 345 |
| 43.4 | 308 |

[4]
Sc7CBr12: calculated PXRD pattern (CuKα), based on a structure optimized by DFT (PBE).

Cell and atoms:
a = 8.613 Å, b = 8.613 Å, c = 8.613 Å
α = 107.75°, β = 107.75°, γ = 107.75°
Fractional positions:
Sc1 0.000 0.000 0.000
Sc2 0.236 0.432 0.499
Sc3 0.432 0.499 0.236
Sc4 0.499 0.236 0.432
Sc5 0.561 0.816 0.626
Sc6 0.626 0.561 0.816
Sc7 0.816 0.626 0.561
C1 0.522 0.522 0.522
Br1 0.068 0.363 0.141
Br2 0.141 0.068 0.363
Br3 0.217 0.749 0.599
Br4 0.303 0.447 0.833
Br5 0.363 0.141 0.068
Br6 0.447 0.833 0.303
Br7 0.599 0.217 0.749
Br8 0.671 0.909 0.988
Br9 0.749 0.599 0.217
Br10 0.833 0.303 0.447
Br11 0.909 0.988 0.671
Br12 0.988 0.671 0.909

Main lines, by angle (2θ = 5–70°):
| 2theta | I_rel |
| --- | --- |
| 12.7 | 62 |
| 28.4 | 504 |
| 28.7 | 157 |
| 31.5 | 56 |
| 33.0 | 1000 |
| 47.1 | 335 |
| 47.6 | 316 |
| 55.9 | 82 |
| 56.1 | 166 |
| 56.5 | 90 |
| 58.7 | 154 |
| 69.2 | 98 |

[5]
Zn2GaCuTe4: calculated PXRD pattern (CuKα), based on a structure optimized by DFT (PBE).

Cell and atoms:
a = 7.498 Å, b = 7.498 Å, c = 7.498 Å
α = 131.67°, β = 131.67°, γ = 70.74°
Fractional positions:
Zn1 0.250 0.750 0.500
Zn2 0.750 0.250 0.500
Ga1 0.000 0.000 0.000
Cu1 0.500 0.500 0.000
Te1 0.133 0.622 0.000
Te2 0.378 0.378 0.511
Te3 0.622 0.133 0.000
Te4 0.867 0.867 0.489

Main lines, by angle (2θ = 5–70°):
| 2theta | I_rel |
| --- | --- |
| 25.2 | 1000 |
| 29.1 | 45 |
| 29.2 | 22 |
| 41.7 | 720 |
| 49.3 | 313 |
| 49.4 | 155 |
| 51.7 | 19 |
| 60.3 | 78 |
| 60.6 | 38 |
| 66.4 | 62 |
| 66.5 | 123 |
| 68.4 | 16 |

[6]
Mg6VGa: calculated PXRD pattern (CuKα), based on a structure optimized by DFT (PBE).

Cell and atoms:
a = 4.937 Å, b = 6.178 Å, c = 6.178 Å
α = 60.29°, β = 90.00°, γ = 90.00°
Fractional positions:
Mg1 0.000 0.000 0.000
Mg2 0.000 0.504 0.988
Mg3 0.000 0.988 0.504
Mg4 0.500 0.167 0.167
Mg5 0.500 0.172 0.662
Mg6 0.500 0.662 0.172
V1 0.500 0.662 0.662
Ga1 0.000 0.509 0.509

Main lines, by angle (2θ = 5–70°):
| 2theta | I_rel |
| --- | --- |
| 16.5 | 429 |
| 24.5 | 166 |
| 33.4 | 281 |
| 33.5 | 102 |
| 34.2 | 123 |
| 36.4 | 397 |
| 38.2 | 1000 |
| 38.3 | 540 |
| 40.2 | 90 |
| 50.2 | 169 |
| 59.9 | 167 |
| 66.7 | 274 |

[7]
Bi2B2O7: calculated PXRD pattern (CuKα), based on a structure optimized by DFT (PBE).

Cell and atoms:
a = 6.391 Å, b = 6.602 Å, c = 7.432 Å
α = 79.56°, β = 81.17°, γ = 87.41°
Fractional positions:
Bi1 0.085 0.253 0.263
Bi2 0.323 0.224 0.725
Bi3 0.677 0.776 0.275
Bi4 0.915 0.747 0.737
B1 0.177 0.716 0.273
B2 0.396 0.739 0.667
B3 0.604 0.261 0.333
B4 0.823 0.284 0.727
O1 0.014 0.218 0.630
O2 0.194 0.564 0.173
O3 0.216 0.180 0.002
O4 0.273 0.566 0.679
O5 0.284 0.890 0.747
O6 0.342 0.835 0.294
O7 0.395 0.242 0.418
O8 0.605 0.758 0.582
O9 0.658 0.165 0.706
O10 0.716 0.110 0.253
O11 0.727 0.434 0.321
O12 0.784 0.820 0.998
O13 0.806 0.436 0.827
O14 0.986 0.782 0.370

Main lines, by angle (2θ = 5–70°):
| 2theta | I_rel |
| --- | --- |
| 19.4 | 738 |
| 19.8 | 473 |
| 20.5 | 241 |
| 23.2 | 535 |
| 23.5 | 366 |
| 24.6 | 1000 |
| 27.5 | 774 |
| 27.7 | 318 |
| 29.1 | 462 |
| 32.6 | 288 |
| 40.5 | 259 |
| 42.9 | 245 |

[8]
CeSe2: calculated PXRD pattern (CuKα), based on a structure optimized by DFT (PBE).

Cell and atoms:
a = 9.340 Å, b = 9.340 Å, c = 9.340 Å
α = 98.46°, β = 98.46°, γ = 98.46°
Fractional positions:
Ce1 0.119 0.757 0.407
Ce2 0.243 0.593 0.881
Ce3 0.407 0.119 0.757
Ce4 0.593 0.881 0.243
Ce5 0.757 0.407 0.119
Ce6 0.881 0.243 0.593
Se1 0.000 0.000 0.500
Se2 0.000 0.500 0.000
Se3 0.000 0.500 0.500
Se4 0.183 0.293 0.745
Se5 0.255 0.817 0.707
Se6 0.293 0.745 0.183
Se7 0.500 0.000 0.000
Se8 0.500 0.000 0.500
Se9 0.500 0.500 0.000
Se10 0.707 0.255 0.817
Se11 0.745 0.183 0.293
Se12 0.817 0.707 0.255

Main lines, by angle (2θ = 5–70°):
| 2theta | I_rel |
| --- | --- |
| 12.5 | 1000 |
| 21.8 | 193 |
| 23.3 | 208 |
| 30.1 | 227 |
| 32.1 | 190 |
| 33.5 | 130 |
| 34.5 | 66 |
| 37.4 | 67 |
| 39.1 | 389 |
| 41.6 | 68 |
| 44.4 | 98 |
| 45.8 | 107 |